Record 1
Starting from the PBE geometry in Alexandria, the PXRD pattern of PrPaGe2O8 was simulated for Cu Kα (weighted mean of Kα1 and Kα2).
Peak positions follow from Bragg's law for the DFT cell and can differ from measured ones.

Atomic structure:
```
data_PrPaGe2O8
_chemical_formula_sum 'Pr2 Pa2 Ge4 O16'
_cell_length_a 7.226
_cell_length_b 7.226
_cell_length_c 6.509
_cell_angle_alpha 90.00
_cell_angle_beta 90.00
_cell_angle_gamma 90.00
_space_group_name_H-M_alt 'I -4 m 2'
_space_group_IT_number 119
_space_group_name_Hall 'I -4 -2'
loop_
_atom_site_label
_atom_site_type_symbol
_atom_site_fract_x
_atom_site_fract_y
_atom_site_fract_z
Pr1 Pr 0.000 0.000 0.000
Pa1 Pa 0.000 0.500 0.750
Ge1 Ge 0.000 0.000 0.500
Ge2 Ge 0.000 0.500 0.250
O1 O 0.000 0.191 0.673
O2 O 0.000 0.325 0.060
```

Largest 10 diffraction maxima, in order of rising 2θ, 2θ from 10° to 90°:
h k l  2θ/deg  d (Å)  I (rel.)
1 0 1  18.34  4.836  35
2 0 0  24.64  3.613  100
1 1 2  32.62  2.745  77
2 2 0  35.12  2.555  25
3 1 2  48.69  1.870  63
4 0 0  50.52  1.807  16
4 2 0  56.99  1.616  16
3 3 2  61.44  1.509  18
2 0 4  62.61  1.484  14
5 1 2  72.79  1.299  15

---

Record 2
Starting from the PBE geometry in Alexandria, the PXRD pattern of RbPa2GeO8 was simulated for Cu Kα (weighted mean of Kα1 and Kα2).
Peak positions follow from Bragg's law for the DFT cell and can differ from measured ones.

Atomic structure:
```
data_RbPa2GeO8
_chemical_formula_sum 'Rb2 Pa4 Ge2 O16'
_cell_length_a 6.755
_cell_length_b 7.077
_cell_length_c 7.588
_cell_angle_alpha 90.00
_cell_angle_beta 90.00
_cell_angle_gamma 90.00
_space_group_name_H-M_alt 'C m m m'
_space_group_IT_number 65
_space_group_name_Hall '-C 2 2'
loop_
_atom_site_label
_atom_site_type_symbol
_atom_site_fract_x
_atom_site_fract_y
_atom_site_fract_z
Rb1 Rb 0.000 0.000 0.000
Pa1 Pa 0.000 0.500 0.273
Ge1 Ge 0.000 0.000 0.500
O1 O 0.000 0.296 0.500
O2 O 0.000 0.354 0.000
O3 O 0.196 0.000 0.318
```

Largest 10 diffraction maxima, in order of rising 2θ, 2θ from 10° to 90°:
h k l  2θ/deg  d (Å)  I (rel.)
1 1 0  18.15  4.887  47
0 2 0  25.17  3.539  53
2 0 0  26.39  3.377  45
1 1 2  29.82  2.997  100
0 2 2  34.66  2.588  14
2 2 0  36.79  2.443  26
0 2 3  44.06  2.055  13
1 3 2  47.33  1.921  38
3 1 2  48.76  1.868  31
3 3 2  61.98  1.497  30

---

Record 3
Starting from the PBE geometry in Alexandria, the PXRD pattern of PaSnGe2O8 was simulated for Cu Kα (weighted mean of Kα1 and Kα2).
Peak positions follow from Bragg's law for the DFT cell and can differ from measured ones.

Atomic structure:
```
data_PaSnGe2O8
_chemical_formula_sum 'Pa2 Sn2 Ge4 O16'
_cell_length_a 8.567
_cell_length_b 5.841
_cell_length_c 7.283
_cell_angle_alpha 90.00
_cell_angle_beta 91.24
_cell_angle_gamma 90.00
_space_group_name_H-M_alt 'C 1 2/m 1'
_space_group_IT_number 12
loop_
_space_group_symop_operation_xyz
'x,y,z'
'-x,-y,-z'
'-x,y,-z'
'x,-y,z'
'x+1/2,y+1/2,z'
'-x+1/2,-y+1/2,-z'
'-x+1/2,y+1/2,-z'
'x+1/2,-y+1/2,z'
loop_
_atom_site_label
_atom_site_type_symbol
_atom_site_fract_x
_atom_site_fract_y
_atom_site_fract_z
Pa1 Pa 0.000 0.000 0.000
Sn1 Sn 0.000 0.000 0.500
Ge1 Ge 0.148 0.500 0.264
O1 O 0.031 0.245 0.241
O2 O 0.237 0.000 0.937
O3 O 0.245 0.000 0.530
```

Largest 10 diffraction maxima, in order of rising 2θ, 2θ from 10° to 90°:
h k l  2θ/deg  d (Å)  I (rel.)
1 1 0  18.38  4.826  72
2 0 0  20.74  4.282  35
1 1 1  22.22  4.000  45
2 0 -1  23.88  3.727  23
0 2 0  30.59  2.922  100
1 1 2  30.95  2.889  54
3 1 0  34.98  2.565  50
2 2 2  45.34  2.000  19
1 3 -2  54.38  1.687  18
4 2 -2  58.78  1.571  16

---

Record 4
Starting from the PBE geometry in Alexandria, the PXRD pattern of Sr2PaGeO6 was simulated for Cu Kα (weighted mean of Kα1 and Kα2).
Peak positions follow from Bragg's law for the DFT cell and can differ from measured ones.

Atomic structure:
```
data_Sr2PaGeO6
_chemical_formula_sum 'Sr2 Pa1 Ge1 O6'
_cell_length_a 4.261
_cell_length_b 4.261
_cell_length_c 8.565
_cell_angle_alpha 90.00
_cell_angle_beta 90.00
_cell_angle_gamma 90.00
_space_group_name_H-M_alt 'P 4/m m m'
_space_group_IT_number 123
_space_group_name_Hall '-P 4 2'
loop_
_atom_site_label
_atom_site_type_symbol
_atom_site_fract_x
_atom_site_fract_y
_atom_site_fract_z
Sr1 Sr 0.000 0.000 0.200
Pa1 Pa 0.500 0.500 0.500
Ge1 Ge 0.500 0.500 0.000
O1 O 0.000 0.500 0.000
O2 O 0.000 0.500 0.500
O3 O 0.500 0.500 0.247
```

Largest 10 diffraction maxima, in order of rising 2θ, 2θ from 10° to 90°:
h k l  2θ/deg  d (Å)  I (rel.)
0 0 2  20.74  4.283  8
1 0 0  20.85  4.261  11
1 0 1  23.32  3.815  28
1 1 0  29.60  3.018  100
2 0 0  42.43  2.131  23
1 1 3  43.68  2.072  12
1 1 4  52.42  1.745  8
2 1 2  52.57  1.741  26
2 0 4  61.39  1.510  9
3 1 0  69.78  1.348  13